1.
Diffraction record for Er2Bi5O12. The X-ray powder pattern is computed, not measured: it uses a structure optimized by DFT (GGA-PBE) and copper Kα.
Neutral-atom scattering factors, no anomalous dispersion.

Structural model:
Cell: 7.1072 7.1072 7.2854 Å, 103.98 103.98 56.23°
Sites, in units of the cell vectors:
Er: 0.2435 0.7565 0.0000
Er: 0.7565 0.2435 0.0000
Bi: 0.0000 0.0000 0.5000
Bi: 0.2999 0.2999 0.6345
Bi: 0.3051 0.3051 0.1427
Bi: 0.6949 0.6949 0.8573
Bi: 0.7001 0.7001 0.3655
O: 0.0194 0.0194 0.8061
O: 0.0684 0.6504 0.4615
O: 0.1174 0.5187 0.8931
O: 0.3496 0.9316 0.5385
O: 0.4813 0.8826 0.1069
O: 0.4899 0.4899 0.1958
O: 0.5101 0.5101 0.8042
O: 0.5187 0.1174 0.8931
O: 0.6504 0.0684 0.4615
O: 0.8826 0.4813 0.1069
O: 0.9316 0.3496 0.5385
O: 0.9806 0.9806 0.1939

Largest 10 diffraction maxima, by intensity, 15 to 90 degrees two-theta:
- 3.200 Å, 27.9°, I = 100.0
- 3.446 Å, 25.9°, I = 94.5
- 3.018 Å, 29.6°, I = 43.4
- 2.841 Å, 31.5°, I = 37.1
- 2.676 Å, 33.5°, I = 35.3
- 2.928 Å, 30.5°, I = 32.6
- 2.722 Å, 32.9°, I = 30.9
- 1.821 Å, 50.1°, I = 29.1
- 3.349 Å, 26.6°, I = 22.5
- 1.904 Å, 47.8°, I = 22.0

---

2.
Diffraction record for PmErBiO2. The X-ray powder pattern is computed, not measured: it uses a structure optimized by DFT (GGA-PBE) and copper Kα.
Neutral-atom scattering factors, no anomalous dispersion.

Structural model:
Cell: 7.3997 7.3997 7.3997 Å, 149.26 149.26 44.03°
Sites, in units of the cell vectors:
Pm: 0.0000 0.0000 0.0000
Er: 0.3353 0.3353 0.0000
Bi: 0.6692 0.6692 0.0000
O: 0.4110 0.9110 0.5000
O: 0.9110 0.4110 0.5000

Largest 10 diffraction maxima, by intensity, 15 to 90 degrees two-theta:
- 2.978 Å, 30.0°, I = 100.0
- 2.774 Å, 32.3°, I = 36.2
- 1.638 Å, 56.2°, I = 35.0
- 1.764 Å, 51.8°, I = 24.6
- 1.962 Å, 46.3°, I = 17.3
- 1.489 Å, 62.4°, I = 11.6
- 1.151 Å, 84.1°, I = 11.4
- 1.421 Å, 65.7°, I = 10.9
- 1.090 Å, 90.0°, I = 10.9
- 2.287 Å, 39.4°, I = 10.7

---

3.
Diffraction record for Er2BiSbO8. The X-ray powder pattern is computed, not measured: it uses a structure optimized by DFT (GGA-PBE) and copper Kα.
Neutral-atom scattering factors, no anomalous dispersion.

Structural model:
Cell: 5.0208 5.0208 6.6984 Å, 90.00 90.00 92.53°
Sites, in units of the cell vectors:
Er: 0.0000 0.0000 0.2439
Er: 0.0000 0.0000 0.7561
Bi: 0.5000 0.5000 0.5000
Sb: 0.5000 0.5000 0.0000
O: 0.2005 0.2005 0.5000
O: 0.2147 0.2147 0.0000
O: 0.3154 0.6846 0.2361
O: 0.3154 0.6846 0.7639
O: 0.6846 0.3154 0.2361
O: 0.6846 0.3154 0.7639
O: 0.7853 0.7853 0.0000
O: 0.7995 0.7995 0.5000

Largest 10 diffraction maxima, by intensity, 15 to 90 degrees two-theta:
- 2.785 Å, 32.1°, I = 100.0
- 3.628 Å, 24.5°, I = 61.2
- 3.471 Å, 25.7°, I = 52.8
- 1.887 Å, 48.2°, I = 42.1
- 1.841 Å, 49.5°, I = 36.8
- 2.508 Å, 35.8°, I = 31.0
- 1.496 Å, 62.0°, I = 22.6
- 1.393 Å, 67.2°, I = 10.9
- 1.566 Å, 59.0°, I = 10.3
- 1.520 Å, 60.9°, I = 9.8

---

4.
Diffraction record for ErScBi2O6. The X-ray powder pattern is computed, not measured: it uses a structure optimized by DFT (GGA-PBE) and copper Kα.
Neutral-atom scattering factors, no anomalous dispersion.

Structural model:
Cell: 6.0193 6.0193 6.0193 Å, 58.52 58.52 58.52°
Sites, in units of the cell vectors:
Er: 0.0000 0.0000 0.0000
Sc: 0.4977 0.4977 0.4977
Bi: 0.2849 0.2849 0.2849
Bi: 0.7844 0.7844 0.7844
O: 0.1464 0.6899 0.3504
O: 0.2060 0.6413 0.8306
O: 0.3504 0.1464 0.6899
O: 0.6413 0.8306 0.2060
O: 0.6899 0.3504 0.1464
O: 0.8306 0.2060 0.6413

Largest 10 diffraction maxima, by intensity, 15 to 90 degrees two-theta:
- 2.942 Å, 30.4°, I = 100.0
- 3.008 Å, 29.7°, I = 95.3
- 1.711 Å, 53.6°, I = 41.8
- 2.103 Å, 43.0°, I = 41.7
- 4.207 Å, 21.1°, I = 41.0
- 1.898 Å, 47.9°, I = 34.6
- 1.699 Å, 54.0°, I = 26.4
- 1.322 Å, 71.4°, I = 16.1
- 1.471 Å, 63.2°, I = 14.4
- 1.750 Å, 52.3°, I = 13.3

---

5.
Diffraction record for Er6Bi3Os. The X-ray powder pattern is computed, not measured: it uses a structure optimized by DFT (GGA-PBE) and copper Kα.
Neutral-atom scattering factors, no anomalous dispersion.

Structural model:
Cell: 6.3435 8.4602 12.5670 Å, 90.00 118.84 90.00°
Sites, in units of the cell vectors:
Er: 0.0538 0.2014 0.4402
Er: 0.0538 0.2986 0.9402
Er: 0.3014 0.6545 0.4346
Er: 0.3014 0.8455 0.9346
Er: 0.3611 0.0355 0.2275
Er: 0.3611 0.4645 0.7275
Er: 0.6389 0.5355 0.2725
Er: 0.6389 0.9645 0.7725
Er: 0.6986 0.1545 0.0654
Er: 0.6986 0.3455 0.5654
Er: 0.9462 0.7014 0.0598
Er: 0.9462 0.7986 0.5598
Bi: 0.1516 0.1188 0.7371
Bi: 0.1516 0.3812 0.2371
Bi: 0.5000 0.0000 0.5000
Bi: 0.5000 0.5000 0.0000
Bi: 0.8484 0.6188 0.7629
Bi: 0.8484 0.8812 0.2629
Os: 0.0000 0.0000 0.0000
Os: 0.0000 0.5000 0.5000

Largest 10 diffraction maxima, by intensity, 15 to 90 degrees two-theta:
- 2.577 Å, 34.8°, I = 100.0
- 2.945 Å, 30.3°, I = 70.9
- 2.884 Å, 31.0°, I = 54.5
- 2.772 Å, 32.3°, I = 46.9
- 2.752 Å, 32.5°, I = 46.8
- 2.984 Å, 29.9°, I = 42.2
- 3.003 Å, 29.8°, I = 41.9
- 2.849 Å, 31.4°, I = 35.6
- 2.587 Å, 34.7°, I = 26.9
- 2.503 Å, 35.9°, I = 24.3

---

6.
Diffraction record for Er4BiOs. The X-ray powder pattern is computed, not measured: it uses a structure optimized by DFT (GGA-PBE) and copper Kα.
Neutral-atom scattering factors, no anomalous dispersion.

Structural model:
Cell: 8.5344 8.5155 7.1583 Å, 65.31 65.04 49.65°
Sites, in units of the cell vectors:
Er: 0.0022 0.4982 0.2171
Er: 0.2171 0.7825 0.0022
Er: 0.2175 0.7829 0.5018
Er: 0.4982 0.0022 0.7825
Er: 0.5018 0.9978 0.2175
Er: 0.7825 0.2171 0.4982
Er: 0.7829 0.2175 0.9978
Er: 0.9978 0.5018 0.7829
Bi: 0.3750 0.3750 0.3750
Bi: 0.6250 0.6250 0.6250
Os: 0.1250 0.1250 0.1250
Os: 0.8750 0.8750 0.8750

Largest 10 diffraction maxima, by intensity, 15 to 90 degrees two-theta:
- 2.476 Å, 36.3°, I = 100.0
- 4.073 Å, 21.8°, I = 52.4
- 2.539 Å, 35.4°, I = 25.7
- 2.523 Å, 35.6°, I = 24.6
- 1.790 Å, 51.0°, I = 16.3
- 1.453 Å, 64.1°, I = 16.1
- 1.447 Å, 64.4°, I = 15.0
- 2.153 Å, 42.0°, I = 10.0
- 1.238 Å, 77.0°, I = 9.9
- 2.146 Å, 42.1°, I = 9.7

---

7.
Diffraction record for ErBi2P2Pt7. The X-ray powder pattern is computed, not measured: it uses a structure optimized by DFT (GGA-PBE) and copper Kα.
Neutral-atom scattering factors, no anomalous dispersion.

Structural model:
Cell: 15.0735 15.0735 15.0735 Å, 164.69 164.69 21.72°
Sites, in units of the cell vectors:
Er: 0.0000 0.0000 0.0000
Bi: 0.2101 0.2101 0.0000
Bi: 0.7899 0.7899 0.0000
P: 0.3837 0.3837 0.0000
P: 0.6163 0.6163 0.0000
Pt: 0.0728 0.5728 0.5000
Pt: 0.3065 0.3065 0.0000
Pt: 0.4272 0.9272 0.5000
Pt: 0.5000 0.5000 0.0000
Pt: 0.5728 0.0728 0.5000
Pt: 0.6935 0.6935 0.0000
Pt: 0.9272 0.4272 0.5000

Largest 10 diffraction maxima, by intensity, 15 to 90 degrees two-theta:
- 2.462 Å, 36.5°, I = 100.0
- 2.008 Å, 45.1°, I = 72.5
- 2.050 Å, 44.2°, I = 54.8
- 2.789 Å, 32.1°, I = 53.6
- 2.652 Å, 33.8°, I = 48.8
- 3.701 Å, 24.0°, I = 30.0
- 2.961 Å, 30.2°, I = 25.7
- 1.456 Å, 63.9°, I = 25.0
- 1.420 Å, 65.8°, I = 24.0
- 1.230 Å, 77.6°, I = 23.3

---

8.
Diffraction record for Er3BiP2Rh9. The X-ray powder pattern is computed, not measured: it uses a structure optimized by DFT (GGA-PBE) and copper Kα.
Neutral-atom scattering factors, no anomalous dispersion.

Structural model:
Cell: 6.0310 6.0310 9.4881 Å, 90.00 90.00 120.00°
Sites, in units of the cell vectors:
Er: 0.0000 0.0000 0.0000
Er: 0.3333 0.6667 0.7427
Er: 0.6667 0.3333 0.2573
Bi: 0.0000 0.0000 0.5000
P: 0.3333 0.6667 0.1570
P: 0.6667 0.3333 0.8430
Rh: 0.0000 0.5000 0.0000
Rh: 0.1508 0.3016 0.2652
Rh: 0.1508 0.8492 0.2652
Rh: 0.3016 0.1508 0.7348
Rh: 0.5000 0.0000 0.0000
Rh: 0.5000 0.5000 0.0000
Rh: 0.6984 0.8492 0.2652
Rh: 0.8492 0.1508 0.7348
Rh: 0.8492 0.6984 0.7348

Largest 10 diffraction maxima, by intensity, 15 to 90 degrees two-theta:
- 2.288 Å, 39.4°, I = 100.0
- 2.518 Å, 35.7°, I = 64.3
- 2.014 Å, 45.0°, I = 33.3
- 2.372 Å, 37.9°, I = 32.6
- 1.508 Å, 61.5°, I = 26.0
- 1.272 Å, 74.6°, I = 24.5
- 5.223 Å, 17.0°, I = 17.7
- 1.823 Å, 50.0°, I = 17.2
- 1.353 Å, 69.5°, I = 17.2
- 4.576 Å, 19.4°, I = 17.0